# 1
Theoretical X-ray powder pattern of MgMn2CuPt for a wavelength of 1.5418 Å, from a DFT-relaxed cell (GGA-PBE, Alexandria).
Peak positions follow from Bragg's law for the DFT cell and can differ from measured ones.

Top 6 peaks for 10° ≤ 2θ ≤ 90°, by intensity:
- 33.36°, I = 100
- 38.28°, I = 45
- 18.87°, I = 37
- 56.23°, I = 29
- 66.10°, I = 26
- 26.81°, I = 22

Cell and atoms:
a = 4.702 Å, b = 4.702 Å, c = 4.556 Å
α = 90.00°, β = 90.00°, γ = 90.00°
Atoms (fractional coordinates):
Mg  0.000  0.000  0.000
Mn  0.000  0.500  0.000
Mn  0.500  0.000  0.000
Cu  0.500  0.500  0.500
Pt  0.000  0.000  0.500

=====

# 2
Theoretical X-ray powder pattern of MgCu2Mo for a wavelength of 1.5418 Å, from a DFT-relaxed cell (GGA-PBE, Alexandria).
Peak positions follow from Bragg's law for the DFT cell and can differ from measured ones.

Top 6 peaks for 10° ≤ 2θ ≤ 90°, by intensity:
- 39.16°, I = 100
- 41.35°, I = 87
- 46.53°, I = 60
- 15.40°, I = 55
- 84.14°, I = 40
- 68.65°, I = 35

Cell and atoms:
a = 2.657 Å, b = 3.831 Å, c = 5.754 Å
α = 90.00°, β = 90.00°, γ = 90.00°
Atoms (fractional coordinates):
Mg  0.000  0.000  0.000
Cu  0.500  0.500  0.265
Cu  0.500  0.500  0.735
Mo  0.000  0.000  0.500

=====

# 3
Theoretical X-ray powder pattern of Na2MgCu2 for a wavelength of 1.5418 Å, from a DFT-relaxed cell (GGA-PBE, Alexandria).
Peak positions follow from Bragg's law for the DFT cell and can differ from measured ones.

Top 6 peaks for 10° ≤ 2θ ≤ 90°, by intensity:
- 35.25°, I = 100
- 19.27°, I = 43
- 39.11°, I = 24
- 41.81°, I = 24
- 18.37°, I = 21
- 68.38°, I = 18

Cell and atoms:
a = 6.832 Å, b = 6.832 Å, c = 4.606 Å
α = 90.00°, β = 90.00°, γ = 90.00°
Atoms (fractional coordinates):
Na  0.172  0.328  0.000
Na  0.328  0.828  0.000
Na  0.672  0.172  0.000
Na  0.828  0.672  0.000
Mg  0.000  0.000  0.500
Mg  0.500  0.500  0.500
Cu  0.124  0.624  0.500
Cu  0.376  0.124  0.500
Cu  0.624  0.876  0.500
Cu  0.876  0.376  0.500

=====

# 4
Theoretical X-ray powder pattern of Na2MgCuSb2 for a wavelength of 1.5418 Å, from a DFT-relaxed cell (GGA-PBE, Alexandria).
Peak positions follow from Bragg's law for the DFT cell and can differ from measured ones.

Top 6 peaks for 10° ≤ 2θ ≤ 90°, by intensity:
- 23.26°, I = 100
- 36.72°, I = 44
- 41.02°, I = 40
- 37.44°, I = 39
- 11.44°, I = 38
- 40.55°, I = 31

Cell and atoms:
a = 8.900 Å, b = 8.900 Å, c = 8.900 Å
α = 139.72°, β = 59.29°, γ = 138.39°
Atoms (fractional coordinates):
Na  0.178  0.236  0.414
Na  0.322  0.736  0.058
Na  0.678  0.264  0.942
Na  0.822  0.764  0.586
Mg  0.250  0.250  0.000
Mg  0.750  0.750  0.000
Cu  0.250  0.750  0.500
Cu  0.750  0.250  0.500
Sb  0.111  0.724  0.835
Sb  0.389  0.224  0.613
Sb  0.611  0.776  0.387
Sb  0.889  0.276  0.165

=====

# 5
Theoretical X-ray powder pattern of Mg6NbCu for a wavelength of 1.5418 Å, from a DFT-relaxed cell (GGA-PBE, Alexandria).
Peak positions follow from Bragg's law for the DFT cell and can differ from measured ones.

Top 6 peaks for 10° ≤ 2θ ≤ 90°, by intensity:
- 38.95°, I = 100
- 37.79°, I = 81
- 16.83°, I = 80
- 37.30°, I = 46
- 34.03°, I = 46
- 16.19°, I = 30

Cell and atoms:
a = 4.822 Å, b = 6.246 Å, c = 6.246 Å
α = 57.53°, β = 90.00°, γ = 90.00°
Atoms (fractional coordinates):
Mg  0.000  0.000  0.000
Mg  0.000  0.018  0.497
Mg  0.000  0.497  0.018
Mg  0.500  0.352  0.841
Mg  0.500  0.841  0.352
Mg  0.500  0.843  0.843
Nb  0.500  0.358  0.358
Cu  0.000  0.487  0.487

=====

# 6
Theoretical X-ray powder pattern of Mg6NbCuO8 for a wavelength of 1.5418 Å, from a DFT-relaxed cell (GGA-PBE, Alexandria).
Peak positions follow from Bragg's law for the DFT cell and can differ from measured ones.

Top 6 peaks for 10° ≤ 2θ ≤ 90°, by intensity:
- 42.25°, I = 100
- 59.73°, I = 60
- 40.19°, I = 56
- 35.80°, I = 55
- 20.76°, I = 42
- 28.83°, I = 38

Cell and atoms:
a = 4.278 Å, b = 4.278 Å, c = 8.976 Å
α = 90.00°, β = 90.00°, γ = 90.00°
Atoms (fractional coordinates):
Mg  0.000  0.000  0.000
Mg  0.000  0.000  0.500
Mg  0.000  0.500  0.232
Mg  0.000  0.500  0.768
Mg  0.500  0.000  0.232
Mg  0.500  0.000  0.768
Nb  0.500  0.500  0.500
Cu  0.500  0.500  0.000
O  0.000  0.000  0.250
O  0.000  0.000  0.750
O  0.000  0.500  0.000
O  0.000  0.500  0.500
O  0.500  0.000  0.000
O  0.500  0.000  0.500
O  0.500  0.500  0.262
O  0.500  0.500  0.738